1.
Starting from a structure optimized by DFT (PBE), the X-ray diffraction stick pattern of Ta8Nb3Ir2 was calculated for Cu Kα (λ = 1.5418 Å).

The 8 most intense peaks (2θ from 10° to 90°), in order of rising 2θ:
- 2θ = 37.0°, rel. 100
- 2θ = 37.3°, rel. 42
- 2θ = 38.4°, rel. 14
- 2θ = 39.1°, rel. 52
- 2θ = 40.2°, rel. 47
- 2θ = 45.3°, rel. 24
- 2θ = 45.5°, rel. 23
- 2θ = 67.3°, rel. 11

Cell: 5.026 6.285 8.037 Å, 69.17 87.11 79.95°
Atoms (fractional coordinates):
Ta: 0.011 0.332 0.185
Ta: 0.104 0.189 0.868
Ta: 0.346 0.893 0.292
Ta: 0.488 0.416 0.340
Ta: 0.512 0.584 0.660
Ta: 0.654 0.107 0.708
Ta: 0.896 0.811 0.132
Ta: 0.989 0.668 0.815
Nb: 0.000 0.500 0.500
Nb: 0.443 0.738 0.982
Nb: 0.557 0.262 0.018
Ir: 0.226 0.027 0.581
Ir: 0.774 0.973 0.419

---

2.
Starting from a structure optimized by DFT (PBE), the X-ray diffraction stick pattern of KMg4Hg12 was calculated for Cu Kα (λ = 1.5418 Å).

The 8 most intense peaks (2θ from 10° to 90°), in order of rising 2θ:
- 2θ = 28.3°, rel. 100
- 2θ = 33.7°, rel. 29
- 2θ = 40.5°, rel. 12
- 2θ = 46.5°, rel. 38
- 2θ = 55.3°, rel. 16
- 2θ = 63.3°, rel. 16
- 2θ = 72.2°, rel. 12
- 2θ = 83.4°, rel. 14

Cell: 8.630 8.630 8.630 Å, 109.47 109.47 109.47°
Atoms (fractional coordinates):
K: 0.000 0.000 0.000
Mg: 0.000 0.000 0.500
Mg: 0.000 0.500 0.000
Mg: 0.500 0.000 0.000
Mg: 0.500 0.500 0.500
Hg: 0.153 0.350 0.503
Hg: 0.153 0.650 0.803
Hg: 0.197 0.847 0.350
Hg: 0.350 0.197 0.847
Hg: 0.350 0.503 0.153
Hg: 0.497 0.847 0.650
Hg: 0.503 0.153 0.350
Hg: 0.650 0.497 0.847
Hg: 0.650 0.803 0.153
Hg: 0.803 0.153 0.650
Hg: 0.847 0.350 0.197
Hg: 0.847 0.650 0.497